1.
For Cu3Mo12S16, a GGA-PBE-relaxed structure gives the simulated X-ray diffraction stick pattern in this record (Cu Kα (λ = 1.5418 Å)).
Neutral-atom scattering factors, no anomalous dispersion.

Principal peaks in the range 10° ≤ 2θ ≤ 90°, in order of rising 2θ:
13.7°, rel. 1000, hkl 0 1 -1
25.7°, rel. 151, hkl 1 -2 0
29.7°, rel. 142, hkl 1 2 2
33.8°, rel. 160, hkl 2 0 -2
40.0°, rel. 134, hkl 1 0 4
40.2°, rel. 138, hkl 2 3 1
45.0°, rel. 143, hkl -2 3 1
45.7°, rel. 141, hkl 3 0 2
46.5°, rel. 319, hkl -1 2 4
51.0°, rel. 146, hkl 1 -1 5

Cell and atoms:
```
31
Lattice="6.5204 0.0000 0.0000 0.9503 8.7917 0.0000 0.2259 0.0141 9.5354" Properties=species:S:1:pos:R:3 pbc="T T T"
Cu 0.0000 0.0000 0.0000
Cu 0.6767 1.5284 6.9796
Cu 1.5466 5.0671 3.3179
Mo 2.5634 4.9887 8.1619
Mo 2.0084 0.5676 3.3739
Mo 3.3489 1.4164 5.5946
Mo 3.7189 5.7759 0.8305
Mo 3.7092 3.0809 0.1728
Mo 4.3559 7.4828 4.9346
Mo 4.8706 6.4039 7.9195
Mo 4.3001 1.9974 3.1111
Mo 4.8947 3.7123 7.2399
Mo 5.2704 8.1000 2.4779
Mo 5.6674 0.1184 4.6860
Mo 6.2698 4.5441 9.4813
S 1.7668 4.2871 0.9697
S 2.3556 8.6170 5.6503
S 2.7668 7.3211 8.8597
S 2.2303 2.9519 4.0000
S 2.6835 2.6371 7.6569
S 3.0572 6.9784 2.9122
S 3.6483 5.3681 6.0168
S 3.0683 0.9642 1.2345
S 5.5321 8.5314 6.8377
S 4.9536 4.1120 2.0625
S 5.5274 2.5079 5.1772
S 5.9359 6.9012 0.4044
S 6.4381 6.5620 3.9801
S 6.0825 2.1509 8.8899
S 6.8153 5.1987 7.1745
S 6.2759 0.8101 2.3436
```

2.
For BaPm, a GGA-PBE-relaxed structure gives the simulated X-ray diffraction stick pattern in this record (Cu Kα (λ = 1.5418 Å)).
Neutral-atom scattering factors, no anomalous dispersion.

Principal peaks in the range 10° ≤ 2θ ≤ 90°, in order of rising 2θ:
25.9°, rel. 231, hkl 1 0 0
27.3°, rel. 267, hkl 0 0 2
29.4°, rel. 1000, hkl 1 0 1
38.0°, rel. 168, hkl 1 0 2
45.7°, rel. 196, hkl 1 1 0
49.6°, rel. 232, hkl 1 0 3
54.1°, rel. 239, hkl 1 1 2
55.3°, rel. 168, hkl 2 0 1
74.5°, rel. 140, hkl 2 1 1
87.5°, rel. 95, hkl 2 1 3

Cell and atoms:
```
2
Lattice="3.9675 0.0000 0.0000 -1.9838 3.4360 0.0000 0.0000 0.0000 6.5226" Properties=species:S:1:pos:R:3 pbc="T T T"
Ba 0.0000 0.0000 0.0000
Pm 1.9838 1.1453 3.2613
```

3.
For TaTiMn2, a GGA-PBE-relaxed structure gives the simulated X-ray diffraction stick pattern in this record (Cu Kα (λ = 1.5418 Å)).
Neutral-atom scattering factors, no anomalous dispersion.

Principal peaks in the range 10° ≤ 2θ ≤ 90°, in order of rising 2θ:
25.5°, rel. 376, hkl 1 1 1
29.5°, rel. 148, hkl 2 0 0
42.3°, rel. 1000, hkl 2 2 0
50.0°, rel. 196, hkl 3 1 1
52.4°, rel. 43, hkl 2 2 2
61.3°, rel. 159, hkl 4 0 0
67.5°, rel. 83, hkl 3 3 1
69.5°, rel. 59, hkl 4 2 0
77.3°, rel. 316, hkl 4 2 2
83.0°, rel. 65, hkl 5 1 1

Cell and atoms:
```
16
Lattice="6.0470 0.0000 0.0000 0.0000 6.0470 0.0000 0.0000 0.0000 6.0470" Properties=species:S:1:pos:R:3 pbc="T T T"
Ta 0.0000 0.0000 0.0000
Ta 0.0000 3.0235 3.0235
Ta 3.0235 0.0000 3.0235
Ta 3.0235 3.0235 0.0000
Ti 0.0000 0.0000 3.0235
Ti 0.0000 3.0235 0.0000
Ti 3.0235 0.0000 0.0000
Ti 3.0235 3.0235 3.0235
Mn 1.5118 1.5118 1.5118
Mn 1.5118 1.5118 4.5353
Mn 1.5118 4.5353 1.5118
Mn 1.5118 4.5353 4.5353
Mn 4.5353 1.5118 1.5118
Mn 4.5353 1.5118 4.5353
Mn 4.5353 4.5353 1.5118
Mn 4.5353 4.5353 4.5353
```